Record 1
Diffraction record for Ba4Pd. The powder diffraction line list is simulated, not measured: it uses a GGA-PBE-relaxed structure and λ = 1.5418 Å (Cu Kα).
Lines closer than 0.1° are merged.

Crystal structure
Unit cell a=13.405 b=13.405 c=13.405 alpha=90.00 beta=90.00 gamma=90.00
Space group Fd-3m (No. 227, origin choice 2)
Inequivalent atoms, fractional coordinates:
Ba1 0.004 0.004 0.246
Pd1 0.125 0.125 0.625

Top 10 peaks for 2θ = 5–70°, by intensity:
2θ 22.98, rel. 1000, (2 2 2)
2θ 37.97, rel. 584, (4 4 0)
2θ 44.85, rel. 493, (6 2 2)
2θ 26.60, rel. 327, (4 0 0)
2θ 60.18, rel. 203, (6 6 2)
2θ 68.60, rel. 199, (8 4 4)
2θ 61.91, rel. 117, (8 4 0)
2θ 18.72, rel. 109, (2 2 0)
2θ 54.79, rel. 98, (8 0 0)
2θ 46.96, rel. 90, (4 4 4)

=====

Record 2
Diffraction record for BaPd5. The powder diffraction line list is simulated, not measured: it uses a GGA-PBE-relaxed structure and λ = 1.5418 Å (Cu Kα).
Lines closer than 0.1° are merged.

Crystal structure
Unit cell a=5.6071 b=5.6071 c=4.4211 alpha=90.00 beta=90.00 gamma=120.00
Space group P6/mmm (No. 191)
Inequivalent atoms, fractional coordinates:
Ba1 0.0000 0.0000 0.0000
Pd1 0.0000 0.5000 0.5000
Pd2 0.3333 0.6667 0.0000

Top 10 peaks for 2θ = 5–70°, by intensity:
2θ 38.00, rel. 1000, (1 1 1)
2θ 42.48, rel. 319, (2 0 1)
2θ 37.03, rel. 313, (2 0 0)
2θ 40.82, rel. 296, (0 0 2)
2θ 60.95, rel. 246, (3 0 1)
2θ 31.92, rel. 223, (1 1 0)
2θ 66.73, rel. 202, (2 2 0)
2θ 27.28, rel. 201, (1 0 1)
2θ 56.28, rel. 183, (2 0 2)
2θ 18.27, rel. 118, (1 0 0)

=====

Record 3
Diffraction record for Ba2Pd. The powder diffraction line list is simulated, not measured: it uses a GGA-PBE-relaxed structure and λ = 1.5418 Å (Cu Kα).
Lines closer than 0.1° are merged.

Crystal structure
Unit cell a=8.449 b=5.302 c=10.492 alpha=90.00 beta=90.00 gamma=90.00
Space group Pnma (No. 62)
Inequivalent atoms, fractional coordinates:
Ba1 0.003 0.250 0.156
Ba2 0.140 0.250 0.586
Pd1 0.241 0.250 0.913

Top 10 peaks for 2θ = 5–70°, by intensity:
2θ 26.12, rel. 1000, (1 1 2)
2θ 28.32, rel. 709, (2 1 1)
2θ 33.81, rel. 484, (0 2 0)
2θ 30.62, rel. 416, (0 1 3)
2θ 26.99, rel. 268, (2 1 0)
2θ 37.45, rel. 262, (2 1 3)
2θ 37.15, rel. 220, (3 1 1)
2θ 27.61, rel. 186, (1 0 3)
2θ 32.93, rel. 184, (3 0 1)
2θ 34.19, rel. 182, (0 0 4)

=====

Record 4
Diffraction record for BaPdS2. The powder diffraction line list is simulated, not measured: it uses a GGA-PBE-relaxed structure and λ = 1.5418 Å (Cu Kα).
Lines closer than 0.1° are merged.

Crystal structure
Unit cell a=6.863 b=10.778 c=5.737 alpha=90.00 beta=90.00 gamma=90.00
Space group Cmcm (No. 63)
Inequivalent atoms, fractional coordinates:
Ba1 0.000 0.151 0.250
Pd1 0.000 0.500 0.000
S1 0.236 0.406 0.250

Top 10 peaks for 2θ = 5–70°, by intensity:
2θ 28.03, rel. 1000, (1 3 0)
2θ 21.81, rel. 834, (1 1 1)
2θ 34.71, rel. 707, (2 2 1)
2θ 34.91, rel. 662, (1 1 2)
2θ 25.97, rel. 329, (2 0 0)
2θ 44.47, rel. 315, (2 2 2)
2θ 46.22, rel. 302, (0 4 2)
2θ 16.45, rel. 296, (0 2 0)
2θ 51.82, rel. 257, (3 1 2)
2θ 47.10, rel. 246, (3 3 0)

=====

Record 5
Diffraction record for BaPdS2. The powder diffraction line list is simulated, not measured: it uses a GGA-PBE-relaxed structure and λ = 1.5418 Å (Cu Kα).
Lines closer than 0.1° are merged.

Crystal structure
Unit cell a=4.832 b=4.832 c=4.346 alpha=90.00 beta=90.00 gamma=90.00
Space group P4/mmm (No. 123)
Inequivalent atoms, fractional coordinates:
Ba1 0.000 0.000 0.000
Pd1 0.500 0.500 0.500
S1 0.000 0.500 0.500

Top 10 peaks for 2θ = 5–70°, by intensity:
2θ 27.61, rel. 1000, (1 0 1)
2θ 46.96, rel. 458, (2 1 1)
2θ 37.22, rel. 363, (2 0 0)
2θ 26.08, rel. 292, (1 1 0)
2θ 57.00, rel. 202, (2 0 2)
2θ 41.56, rel. 131, (0 0 2)
2θ 53.65, rel. 122, (2 2 0)
2θ 49.73, rel. 106, (1 1 2)
2θ 61.39, rel. 102, (3 0 1)
2θ 33.36, rel. 84, (1 1 1)

=====

Record 6
Diffraction record for BaSn3Pd. The powder diffraction line list is simulated, not measured: it uses a GGA-PBE-relaxed structure and λ = 1.5418 Å (Cu Kα).
Lines closer than 0.1° are merged.

Crystal structure
Unit cell a=4.968 b=4.968 c=11.368 alpha=90.00 beta=90.00 gamma=90.00
Space group I4mm (No. 107)
Inequivalent atoms, fractional coordinates:
Ba1 0.000 0.000 0.000
Sn1 0.000 0.000 0.412
Sn2 0.000 0.500 0.250
Pd1 0.000 0.000 0.649

Top 10 peaks for 2θ = 5–70°, by intensity:
2θ 29.90, rel. 1000, (1 1 2)
2θ 36.16, rel. 702, (2 0 0)
2θ 29.65, rel. 435, (1 0 3)
2θ 40.84, rel. 276, (1 1 4)
2θ 61.21, rel. 271, (3 1 2)
2θ 52.07, rel. 249, (2 2 0)
2θ 47.44, rel. 235, (2 1 3)
2θ 43.79, rel. 191, (1 0 5)
2θ 58.05, rel. 167, (2 1 5)
2θ 55.07, rel. 134, (1 1 6)